# 1
For CaB2O10, a structure optimized by DFT (PBE) gives the computed powder diffractogram in this record (Cu Kα X-rays).
Lines closer than 0.1° are merged.

Largest 10 diffraction maxima, in order of rising 2θ, 10 to 90 degrees two-theta:
d_spacing	I/Imax
4.788	100
4.256	12
3.732	27
3.445	18
3.206	34
2.710	20
2.675	13
2.283	18
2.203	21
2.094	20

Cell and atoms:
a b c (Å): 9.6522 5.9549 7.1691
angles (deg): 90.00 97.19 90.00
Fractional coordinates of all 26 atoms:
Ca  0.0000  0.1307  0.2500
Ca  0.0000  0.8693  0.7500
B  0.1258  0.3731  0.6332
B  0.1258  0.6269  0.1332
B  0.8742  0.3731  0.8668
B  0.8742  0.6269  0.3668
O  0.0998  0.1701  0.5819
O  0.0998  0.8299  0.0819
O  0.1447  0.4260  0.1839
O  0.1447  0.5740  0.6839
O  0.4350  0.2646  0.0288
O  0.4350  0.7354  0.5288
O  0.4358  0.0637  0.7389
O  0.4358  0.9363  0.2389
O  0.4365  0.2655  0.4496
O  0.4365  0.7345  0.9496
O  0.5635  0.2655  0.0504
O  0.5635  0.7345  0.5504
O  0.5642  0.0637  0.7611
O  0.5642  0.9363  0.2611
O  0.5650  0.2646  0.4712
O  0.5650  0.7354  0.9712
O  0.8553  0.4260  0.3161
O  0.8553  0.5740  0.8161
O  0.9002  0.1701  0.9181
O  0.9002  0.8299  0.4181

***

# 2
For CaB3O10, a structure optimized by DFT (PBE) gives the computed powder diffractogram in this record (Cu Kα X-rays).
Lines closer than 0.1° are merged.

Largest 10 diffraction maxima, in order of rising 2θ, 10 to 90 degrees two-theta:
d_spacing	I/Imax
5.714	31
5.625	68
3.731	57
3.286	67
3.159	100
3.035	36
3.022	48
2.926	36
2.560	46
2.069	36

Cell and atoms:
a b c (Å): 5.7671 6.0770 10.0856
angles (deg): 74.52 77.45 88.83
Fractional coordinates of all 28 atoms:
Ca  0.1704  0.2089  0.0920
Ca  0.8296  0.7911  0.9080
B  0.1338  0.5064  0.6497
B  0.1364  0.6983  0.1319
B  0.2830  0.1645  0.7847
B  0.7170  0.8355  0.2153
B  0.8636  0.3017  0.8681
B  0.8662  0.4936  0.3503
O  0.0304  0.0857  0.4505
O  0.0523  0.1434  0.8818
O  0.0529  0.4801  0.2354
O  0.1875  0.6834  0.5288
O  0.2117  0.6319  0.9921
O  0.2749  0.3211  0.6515
O  0.3153  0.8351  0.1628
O  0.3372  0.9252  0.7651
O  0.4129  0.7810  0.8823
O  0.4403  0.2392  0.8665
O  0.5597  0.7608  0.1335
O  0.5871  0.2190  0.1177
O  0.6628  0.0748  0.2349
O  0.6847  0.1649  0.8372
O  0.7251  0.6789  0.3485
O  0.7883  0.3681  0.0079
O  0.8125  0.3166  0.4712
O  0.9471  0.5199  0.7646
O  0.9477  0.8566  0.1182
O  0.9696  0.9143  0.5495

***

# 3
For CaB2O10, a structure optimized by DFT (PBE) gives the computed powder diffractogram in this record (Cu Kα X-rays).
Lines closer than 0.1° are merged.

Largest 10 diffraction maxima, in order of rising 2θ, 10 to 90 degrees two-theta:
d_spacing	I/Imax
6.993	100
4.984	14
3.773	24
3.581	28
3.497	40
3.313	28
3.207	20
3.060	14
2.947	32
2.754	18

Cell and atoms:
a b c (Å): 7.6505 5.8929 10.2215
angles (deg): 90.00 113.92 90.00
Fractional coordinates of all 26 atoms:
Ca  0.0000  0.0936  0.2500
Ca  0.0000  0.9064  0.7500
B  0.0964  0.3374  0.6147
B  0.0964  0.6626  0.1147
B  0.9036  0.3374  0.8853
B  0.9036  0.6626  0.3853
O  0.0081  0.2629  0.4704
O  0.0081  0.7371  0.9704
O  0.0987  0.4307  0.1495
O  0.0987  0.5693  0.6495
O  0.1740  0.1844  0.7139
O  0.1740  0.8156  0.2139
O  0.4011  0.2374  0.4378
O  0.4011  0.7626  0.9378
O  0.4524  0.2521  0.0841
O  0.4524  0.7479  0.5841
O  0.5476  0.2521  0.4159
O  0.5476  0.7479  0.9159
O  0.5989  0.2374  0.0622
O  0.5989  0.7626  0.5622
O  0.8260  0.1844  0.7861
O  0.8260  0.8156  0.2861
O  0.9013  0.4307  0.3505
O  0.9013  0.5693  0.8505
O  0.9919  0.2629  0.0296
O  0.9919  0.7371  0.5296

***

# 4
For CaB2O10, a structure optimized by DFT (PBE) gives the computed powder diffractogram in this record (Cu Kα X-rays).
Lines closer than 0.1° are merged.

Largest 10 diffraction maxima, in order of rising 2θ, 10 to 90 degrees two-theta:
d_spacing	I/Imax
6.890	100
3.822	37
3.598	33
3.479	16
3.445	41
3.214	19
3.196	32
2.691	21
2.683	15
2.308	17

Cell and atoms:
a b c (Å): 7.6926 7.6926 10.0470
angles (deg): 102.70 102.70 45.49
Fractional coordinates of all 26 atoms:
Ca  0.0912  0.9088  0.7500
Ca  0.9088  0.0912  0.2500
B  0.2899  0.6115  0.0697
B  0.3885  0.7101  0.4303
B  0.6115  0.2899  0.5697
B  0.7101  0.3885  0.9303
O  0.0117  0.3922  0.2523
O  0.0826  0.4579  0.3543
O  0.0970  0.7251  0.1320
O  0.2634  0.7332  0.9683
O  0.2668  0.7366  0.5317
O  0.2749  0.9030  0.3680
O  0.3782  0.5162  0.6022
O  0.3922  0.0117  0.7523
O  0.4579  0.0826  0.8543
O  0.4838  0.6218  0.8978
O  0.5162  0.3782  0.1022
O  0.5421  0.9174  0.1457
O  0.6078  0.9883  0.2477
O  0.6218  0.4838  0.3978
O  0.7251  0.0970  0.6320
O  0.7332  0.2634  0.4683
O  0.7366  0.2668  0.0317
O  0.9030  0.2749  0.8680
O  0.9174  0.5421  0.6457
O  0.9883  0.6078  0.7477

***

# 5
For CaB2O10, a structure optimized by DFT (PBE) gives the computed powder diffractogram in this record (Cu Kα X-rays).
Lines closer than 0.1° are merged.

Largest 10 diffraction maxima, in order of rising 2θ, 10 to 90 degrees two-theta:
d_spacing	I/Imax
6.078	17
4.858	33
4.406	26
3.940	100
3.576	19
3.559	38
2.576	71
2.557	68
2.429	18
2.074	22

Cell and atoms:
a b c (Å): 6.0782 4.8581 10.4536
angles (deg): 90.00 90.68 90.00
Fractional coordinates of all 26 atoms:
Ca  0.0000  0.2188  0.2500
Ca  0.0000  0.7812  0.7500
B  0.2459  0.1660  0.5672
B  0.2459  0.8340  0.0672
B  0.7541  0.1660  0.9328
B  0.7541  0.8340  0.4328
O  0.0092  0.1794  0.5958
O  0.0092  0.8206  0.0958
O  0.1755  0.3900  0.6506
O  0.1755  0.6100  0.1506
O  0.2955  0.2042  0.4345
O  0.2955  0.7958  0.9345
O  0.3642  0.0394  0.1438
O  0.3642  0.9606  0.6438
O  0.4649  0.2583  0.0721
O  0.4649  0.7417  0.5721
O  0.5351  0.2583  0.4279
O  0.5351  0.7417  0.9279
O  0.6358  0.0394  0.3562
O  0.6358  0.9606  0.8562
O  0.7045  0.2042  0.0655
O  0.7045  0.7958  0.5655
O  0.8245  0.3900  0.8494
O  0.8245  0.6100  0.3494
O  0.9908  0.1794  0.9042
O  0.9908  0.8206  0.4042